[1]
Computed powder XRD pattern
Compound: K2InSnBr4
Radiation: copper Kα
Structure: the GGA-PBE geometry in Alexandria
Kinematic intensities with the Lorentz-polarization factor, no thermal factor.

Structure:
```
data_K2InSnBr4
_symmetry_space_group_name_H-M 'P 1'
_symmetry_Int_Tables_number 1
_symmetry_space_group_name_Hall 'P 1'
_cell_length_a 6.670
_cell_length_b 6.670
_cell_length_c 13.133
_cell_angle_alpha 90.00
_cell_angle_beta 90.00
_cell_angle_gamma 90.00
loop_
_atom_site_label
_atom_site_fract_x
_atom_site_fract_y
_atom_site_fract_z
K1 0.000 0.000 0.000
K2 0.000 0.500 0.250
K3 0.500 0.000 0.750
K4 0.500 0.500 0.500
In1 0.000 0.500 0.750
In2 0.500 0.000 0.250
Sn1 0.000 0.000 0.500
Sn2 0.500 0.500 0.000
Br1 0.000 0.000 0.262
Br2 0.000 0.000 0.738
Br3 0.000 0.500 0.002
Br4 0.000 0.500 0.498
Br5 0.500 0.000 0.502
Br6 0.500 0.000 0.998
Br7 0.500 0.500 0.238
Br8 0.500 0.500 0.762
```

Main lines, sorted by position (2θ = 5–70°):
| d_spacing | intensity |
| --- | --- |
| 3.335 | 1000 |
| 3.283 | 468 |
| 2.358 | 381 |
| 2.340 | 726 |
| 1.915 | 391 |
| 1.358 | 248 |


[2]
Computed powder XRD pattern
Compound: Pu3SiPt
Radiation: copper Kα
Structure: the GGA-PBE geometry in Alexandria
Kinematic intensities with the Lorentz-polarization factor, no thermal factor.

Structure:
```
data_Pu3SiPt
_symmetry_space_group_name_H-M 'P 1'
_symmetry_Int_Tables_number 1
_symmetry_space_group_name_Hall 'P 1'
_cell_length_a 4.776
_cell_length_b 6.943
_cell_length_c 6.724
_cell_angle_alpha 90.00
_cell_angle_beta 90.00
_cell_angle_gamma 90.00
loop_
_atom_site_label
_atom_site_fract_x
_atom_site_fract_y
_atom_site_fract_z
Pu1 0.250 0.037 0.240
Pu2 0.250 0.250 0.711
Pu3 0.250 0.463 0.240
Pu4 0.750 0.537 0.760
Pu5 0.750 0.750 0.289
Pu6 0.750 0.963 0.760
Si1 0.250 0.750 0.567
Si2 0.750 0.250 0.433
Pt1 0.250 0.750 0.936
Pt2 0.750 0.250 0.064
```

Main lines, sorted by position (2θ = 5–70°):
| d_spacing | intensity |
| --- | --- |
| 3.396 | 150 |
| 3.362 | 247 |
| 2.591 | 1000 |
| 2.556 | 389 |
| 2.388 | 317 |
| 1.415 | 161 |


[3]
Computed powder XRD pattern
Compound: CaMg3C4O12
Radiation: copper Kα
Structure: the GGA-PBE geometry in Alexandria
Kinematic intensities with the Lorentz-polarization factor, no thermal factor.

Structure:
```
data_CaMg3C4O12
_symmetry_space_group_name_H-M 'P 1'
_symmetry_Int_Tables_number 1
_symmetry_space_group_name_Hall 'P 1'
_cell_length_a 6.143
_cell_length_b 6.143
_cell_length_c 6.143
_cell_angle_alpha 102.96
_cell_angle_beta 102.96
_cell_angle_gamma 102.96
loop_
_atom_site_label
_atom_site_fract_x
_atom_site_fract_y
_atom_site_fract_z
Ca1 0.000 0.000 0.000
Mg1 0.000 0.543 0.457
Mg2 0.457 0.000 0.543
Mg3 0.543 0.457 0.000
C1 0.044 0.500 0.956
C2 0.500 0.500 0.500
C3 0.500 0.956 0.044
C4 0.956 0.044 0.500
O1 0.025 0.619 0.808
O2 0.092 0.908 0.500
O3 0.192 0.381 0.975
O4 0.365 0.635 0.500
O5 0.381 0.975 0.192
O6 0.500 0.092 0.908
O7 0.500 0.365 0.635
O8 0.619 0.808 0.025
O9 0.635 0.500 0.365
O10 0.808 0.025 0.619
O11 0.908 0.500 0.092
O12 0.975 0.192 0.381
```

Main lines, sorted by position (2θ = 5–70°):
| d_spacing | intensity |
| --- | --- |
| 2.923 | 187 |
| 2.865 | 1000 |
| 2.403 | 108 |
| 1.993 | 241 |
| 1.784 | 174 |
| 1.775 | 170 |


[4]
Computed powder XRD pattern
Compound: Y2IrOs2
Radiation: copper Kα
Structure: the GGA-PBE geometry in Alexandria
Kinematic intensities with the Lorentz-polarization factor, no thermal factor.

Structure:
```
data_Y2IrOs2
_symmetry_space_group_name_H-M 'P 1'
_symmetry_Int_Tables_number 1
_symmetry_space_group_name_Hall 'P 1'
_cell_length_a 6.739
_cell_length_b 6.739
_cell_length_c 4.467
_cell_angle_alpha 90.00
_cell_angle_beta 90.00
_cell_angle_gamma 90.00
loop_
_atom_site_label
_atom_site_fract_x
_atom_site_fract_y
_atom_site_fract_z
Y1 0.181 0.319 0.000
Y2 0.319 0.819 0.000
Y3 0.681 0.181 0.000
Y4 0.819 0.681 0.000
Ir1 0.000 0.000 0.500
Ir2 0.500 0.500 0.500
Os1 0.124 0.624 0.500
Os2 0.376 0.124 0.500
Os3 0.624 0.876 0.500
Os4 0.876 0.376 0.500
```

Main lines, sorted by position (2θ = 5–70°):
| d_spacing | intensity |
| --- | --- |
| 4.467 | 512 |
| 2.690 | 395 |
| 2.498 | 1000 |
| 2.233 | 334 |
| 2.131 | 421 |
| 1.542 | 304 |


[5]
Computed powder XRD pattern
Compound: Sm2MgGa12
Radiation: copper Kα
Structure: the GGA-PBE geometry in Alexandria
Kinematic intensities with the Lorentz-polarization factor, no thermal factor.

Structure:
```
data_Sm2MgGa12
_symmetry_space_group_name_H-M 'P 1'
_symmetry_Int_Tables_number 1
_symmetry_space_group_name_Hall 'P 1'
_cell_length_a 5.890
_cell_length_b 5.890
_cell_length_c 17.538
_cell_angle_alpha 90.00
_cell_angle_beta 90.00
_cell_angle_gamma 90.00
loop_
_atom_site_label
_atom_site_fract_x
_atom_site_fract_y
_atom_site_fract_z
Sm1 0.250 0.750 0.221
Sm2 0.250 0.750 0.779
Sm3 0.750 0.250 0.221
Sm4 0.750 0.250 0.779
Mg1 0.250 0.750 0.500
Mg2 0.750 0.250 0.500
Ga1 0.002 0.502 0.385
Ga2 0.002 0.998 0.615
Ga3 0.068 0.568 0.935
Ga4 0.068 0.932 0.065
Ga5 0.250 0.250 0.149
Ga6 0.250 0.250 0.291
Ga7 0.250 0.250 0.709
Ga8 0.250 0.250 0.851
Ga9 0.432 0.568 0.065
Ga10 0.432 0.932 0.935
Ga11 0.498 0.502 0.615
Ga12 0.498 0.998 0.385
Ga13 0.502 0.002 0.615
Ga14 0.502 0.498 0.385
Ga15 0.568 0.068 0.065
Ga16 0.568 0.432 0.935
Ga17 0.750 0.750 0.149
Ga18 0.750 0.750 0.291
Ga19 0.750 0.750 0.709
Ga20 0.750 0.750 0.851
Ga21 0.932 0.068 0.935
Ga22 0.932 0.432 0.065
Ga23 0.998 0.002 0.385
Ga24 0.998 0.498 0.615
```

Main lines, sorted by position (2θ = 5–70°):
| d_spacing | intensity |
| --- | --- |
| 17.538 | 681 |
| 2.792 | 1000 |
| 2.630 | 482 |
| 2.445 | 499 |
| 2.147 | 551 |
| 2.083 | 657 |


[6]
Computed powder XRD pattern
Compound: LaGePd4
Radiation: copper Kα
Structure: the GGA-PBE geometry in Alexandria
Kinematic intensities with the Lorentz-polarization factor, no thermal factor.

Structure:
```
data_LaGePd4
_symmetry_space_group_name_H-M 'P 1'
_symmetry_Int_Tables_number 1
_symmetry_space_group_name_Hall 'P 1'
_cell_length_a 7.785
_cell_length_b 4.016
_cell_length_c 7.129
_cell_angle_alpha 90.00
_cell_angle_beta 90.00
_cell_angle_gamma 90.00
loop_
_atom_site_label
_atom_site_fract_x
_atom_site_fract_y
_atom_site_fract_z
La1 0.250 0.000 0.142
La2 0.750 0.000 0.858
Ge1 0.250 0.000 0.712
Ge2 0.750 0.000 0.288
Pd1 0.000 0.000 0.500
Pd2 0.055 0.500 0.804
Pd3 0.250 0.500 0.456
Pd4 0.445 0.500 0.804
Pd5 0.500 0.000 0.500
Pd6 0.555 0.500 0.196
Pd7 0.750 0.500 0.544
Pd8 0.945 0.500 0.196
```

Main lines, sorted by position (2θ = 5–70°):
| d_spacing | intensity |
| --- | --- |
| 2.602 | 1000 |
| 2.522 | 596 |
| 2.439 | 211 |
| 2.376 | 328 |
| 2.200 | 988 |
| 2.008 | 430 |


[7]
Computed powder XRD pattern
Compound: ThSi3Tc
Radiation: copper Kα
Structure: the GGA-PBE geometry in Alexandria
Kinematic intensities with the Lorentz-polarization factor, no thermal factor.

Structure:
```
data_ThSi3Tc
_symmetry_space_group_name_H-M 'P 1'
_symmetry_Int_Tables_number 1
_symmetry_space_group_name_Hall 'P 1'
_cell_length_a 6.439
_cell_length_b 6.439
_cell_length_c 6.439
_cell_angle_alpha 129.79
_cell_angle_beta 96.91
_cell_angle_gamma 103.87
loop_
_atom_site_label
_atom_site_fract_x
_atom_site_fract_y
_atom_site_fract_z
Th1 0.296 0.046 0.250
Th2 0.704 0.954 0.750
Si1 0.096 0.346 0.750
Si2 0.232 0.000 0.732
Si3 0.232 0.500 0.232
Si4 0.768 0.000 0.268
Si5 0.768 0.500 0.768
Si6 0.904 0.654 0.250
Tc1 0.000 0.500 0.500
Tc2 0.500 0.500 0.000
```

Main lines, sorted by position (2θ = 5–70°):
| d_spacing | intensity |
| --- | --- |
| 3.970 | 244 |
| 3.098 | 1000 |
| 3.006 | 231 |
| 2.250 | 261 |
| 2.133 | 251 |
| 2.080 | 275 |


[8]
Computed powder XRD pattern
Compound: Li2PAuS4
Radiation: copper Kα
Structure: the GGA-PBE geometry in Alexandria
Kinematic intensities with the Lorentz-polarization factor, no thermal factor.

Structure:
```
data_Li2PAuS4
_symmetry_space_group_name_H-M 'P 1'
_symmetry_Int_Tables_number 1
_symmetry_space_group_name_Hall 'P 1'
_cell_length_a 5.556
_cell_length_b 5.556
_cell_length_c 10.631
_cell_angle_alpha 90.00
_cell_angle_beta 90.00
_cell_angle_gamma 90.00
loop_
_atom_site_label
_atom_site_fract_x
_atom_site_fract_y
_atom_site_fract_z
Li1 0.000 0.000 0.000
Li2 0.000 0.500 0.250
Li3 0.500 0.000 0.750
Li4 0.500 0.500 0.500
P1 0.000 0.500 0.750
P2 0.500 0.000 0.250
Au1 0.000 0.000 0.500
Au2 0.500 0.500 0.000
S1 0.210 0.723 0.861
S2 0.223 0.290 0.639
S3 0.277 0.210 0.139
S4 0.290 0.777 0.361
S5 0.710 0.223 0.361
S6 0.723 0.790 0.139
S7 0.777 0.710 0.639
S8 0.790 0.277 0.861
```

Main lines, sorted by position (2θ = 5–70°):
| d_spacing | intensity |
| --- | --- |
| 4.924 | 1000 |
| 3.159 | 682 |
| 2.988 | 308 |
| 2.420 | 356 |
| 2.034 | 210 |
| 1.920 | 267 |


[9]
Computed powder XRD pattern
Compound: RbNdTiS4
Radiation: copper Kα
Structure: the GGA-PBE geometry in Alexandria
Kinematic intensities with the Lorentz-polarization factor, no thermal factor.

Structure:
```
data_RbNdTiS4
_symmetry_space_group_name_H-M 'P 1'
_symmetry_Int_Tables_number 1
_symmetry_space_group_name_Hall 'P 1'
_cell_length_a 6.800
_cell_length_b 6.795
_cell_length_c 9.194
_cell_angle_alpha 90.00
_cell_angle_beta 107.64
_cell_angle_gamma 90.00
loop_
_atom_site_label
_atom_site_fract_x
_atom_site_fract_y
_atom_site_fract_z
Rb1 0.225 0.250 0.436
Rb2 0.775 0.750 0.564
Nd1 0.281 0.250 0.951
Nd2 0.719 0.750 0.049
Ti1 0.270 0.750 0.171
Ti2 0.730 0.250 0.829
S1 0.066 0.750 0.322
S2 0.069 0.750 0.929
S3 0.499 0.004 0.204
S4 0.499 0.496 0.204
S5 0.501 0.504 0.796
S6 0.501 0.996 0.796
S7 0.931 0.250 0.071
S8 0.934 0.250 0.678
```

Main lines, sorted by position (2θ = 5–70°):
| d_spacing | intensity |
| --- | --- |
| 8.762 | 1000 |
| 4.689 | 766 |
| 3.397 | 620 |
| 2.900 | 698 |
| 2.814 | 570 |
| 2.345 | 460 |


[10]
Computed powder XRD pattern
Compound: BaSrH
Radiation: copper Kα
Structure: the GGA-PBE geometry in Alexandria
Kinematic intensities with the Lorentz-polarization factor, no thermal factor.

Structure:
```
data_BaSrH
_symmetry_space_group_name_H-M 'P 1'
_symmetry_Int_Tables_number 1
_symmetry_space_group_name_Hall 'P 1'
_cell_length_a 4.367
_cell_length_b 4.367
_cell_length_c 21.017
_cell_angle_alpha 90.00
_cell_angle_beta 90.00
_cell_angle_gamma 120.00
loop_
_atom_site_label
_atom_site_fract_x
_atom_site_fract_y
_atom_site_fract_z
Ba1 0.000 0.000 0.000
Ba2 0.333 0.667 0.667
Ba3 0.667 0.333 0.333
Sr1 0.000 0.000 0.512
Sr2 0.333 0.667 0.179
Sr3 0.667 0.333 0.845
H1 0.000 0.000 0.630
H2 0.333 0.667 0.297
H3 0.667 0.333 0.963
```

Main lines, sorted by position (2θ = 5–70°):
| d_spacing | intensity |
| --- | --- |
| 3.559 | 1000 |
| 3.503 | 307 |
| 3.070 | 662 |
| 2.184 | 265 |
| 2.158 | 234 |
| 1.853 | 300 |


[11]
Computed powder XRD pattern
Compound: Sn2Au2I
Radiation: copper Kα
Structure: the GGA-PBE geometry in Alexandria
Kinematic intensities with the Lorentz-polarization factor, no thermal factor.

Structure:
```
data_Sn2Au2I
_symmetry_space_group_name_H-M 'P 1'
_symmetry_Int_Tables_number 1
_symmetry_space_group_name_Hall 'P 1'
_cell_length_a 4.150
_cell_length_b 4.150
_cell_length_c 16.256
_cell_angle_alpha 90.00
_cell_angle_beta 90.00
_cell_angle_gamma 90.00
loop_
_atom_site_label
_atom_site_fract_x
_atom_site_fract_y
_atom_site_fract_z
Sn1 0.000 0.000 0.127
Sn2 0.000 0.000 0.873
Sn3 0.500 0.500 0.373
Sn4 0.500 0.500 0.627
Au1 0.000 0.500 0.250
Au2 0.000 0.500 0.750
Au3 0.500 0.000 0.250
Au4 0.500 0.000 0.750
I1 0.000 0.000 0.500
I2 0.500 0.500 0.000
```

Main lines, sorted by position (2θ = 5–70°):
| d_spacing | intensity |
| --- | --- |
| 8.128 | 845 |
| 3.295 | 558 |
| 2.760 | 1000 |
| 2.379 | 667 |
| 2.075 | 494 |
| 1.991 | 436 |


[12]
Computed powder XRD pattern
Compound: InClF
Radiation: copper Kα
Structure: the GGA-PBE geometry in Alexandria
Kinematic intensities with the Lorentz-polarization factor, no thermal factor.

Structure:
```
data_InClF
_symmetry_space_group_name_H-M 'P 1'
_symmetry_Int_Tables_number 1
_symmetry_space_group_name_Hall 'P 1'
_cell_length_a 10.727
_cell_length_b 3.777
_cell_length_c 7.170
_cell_angle_alpha 90.00
_cell_angle_beta 94.43
_cell_angle_gamma 90.00
loop_
_atom_site_label
_atom_site_fract_x
_atom_site_fract_y
_atom_site_fract_z
In1 0.118 0.000 0.096
In2 0.382 0.500 0.904
In3 0.618 0.500 0.096
In4 0.882 0.000 0.904
Cl1 0.135 0.500 0.340
Cl2 0.365 0.000 0.660
Cl3 0.635 0.000 0.340
Cl4 0.865 0.500 0.660
F1 0.181 0.500 0.912
F2 0.319 0.000 0.088
F3 0.681 0.000 0.912
F4 0.819 0.500 0.088
```

Main lines, sorted by position (2θ = 5–70°):
| d_spacing | intensity |
| --- | --- |
| 7.149 | 1000 |
| 4.450 | 314 |
| 4.132 | 267 |
| 3.221 | 411 |
| 2.674 | 249 |
| 2.556 | 430 |


[13]
Computed powder XRD pattern
Compound: Dy6Pt2Se3S
Radiation: copper Kα
Structure: the GGA-PBE geometry in Alexandria
Kinematic intensities with the Lorentz-polarization factor, no thermal factor.

Structure:
```
data_Dy6Pt2Se3S
_symmetry_space_group_name_H-M 'P 1'
_symmetry_Int_Tables_number 1
_symmetry_space_group_name_Hall 'P 1'
_cell_length_a 6.970
_cell_length_b 6.970
_cell_length_c 7.294
_cell_angle_alpha 99.07
_cell_angle_beta 99.07
_cell_angle_gamma 120.09
loop_
_atom_site_label
_atom_site_fract_x
_atom_site_fract_y
_atom_site_fract_z
Dy1 0.083 0.422 0.769
Dy2 0.240 0.240 0.235
Dy3 0.422 0.083 0.769
Dy4 0.578 0.917 0.231
Dy5 0.760 0.760 0.765
Dy6 0.917 0.578 0.231
Pt1 0.167 0.833 0.000
Pt2 0.833 0.167 0.000
Se1 0.000 0.000 0.500
Se2 0.337 0.663 0.500
Se3 0.663 0.337 0.500
S1 0.500 0.500 0.000
```

Main lines, sorted by position (2θ = 5–70°):
| d_spacing | intensity |
| --- | --- |
| 6.921 | 117 |
| 2.895 | 1000 |
| 2.887 | 492 |
| 2.081 | 562 |
| 2.011 | 531 |
| 1.651 | 285 |